The following is a calculated powder X-ray diffraction pattern of MoPd2Pt5. It was derived from a cell relaxed with GGA-PBE, using λ = 1.5418 Å (Cu Kα).

Top 8 peaks for 2θ from 10° to 80°, in order of falling intensity:
d = 2.289 Å, rel. 100
d = 2.277 Å, rel. 98
d = 1.982 Å, rel. 65
d = 1.396 Å, rel. 52
d = 1.967 Å, rel. 32
d = 1.407 Å, rel. 11
d = 3.934 Å, rel. 8
d = 4.236 Å, rel. 5

Atomic structure:
Cell: 6.830 6.252 4.837 Å, 74.81 62.07 43.12°
Fractional positions:
1 Mo 0.000 0.000 0.000
2 Pd 0.246 0.246 0.754
3 Pd 0.754 0.754 0.246
4 Pt 0.123 0.123 0.377
5 Pt 0.377 0.377 0.123
6 Pt 0.500 0.500 0.500
7 Pt 0.623 0.623 0.877
8 Pt 0.877 0.877 0.623


The following is a calculated powder X-ray diffraction pattern of Mo2PdPt3. It was derived from a cell relaxed with GGA-PBE, using λ = 1.5418 Å (Cu Kα).

Top 8 peaks for 2θ from 10° to 80°, in order of falling intensity:
d = 2.250 Å, rel. 100
d = 2.205 Å, rel. 77
d = 2.232 Å, rel. 50
d = 2.211 Å, rel. 34
d = 1.724 Å, rel. 27
d = 2.682 Å, rel. 26
d = 1.292 Å, rel. 26
d = 1.571 Å, rel. 23

Atomic structure:
Cell: 9.002 8.264 5.208 Å, 80.38 64.84 34.78°
Fractional positions:
1 Mo 0.248 0.752 0.752
2 Mo 0.250 0.250 0.250
3 Mo 0.750 0.750 0.750
4 Mo 0.752 0.248 0.248
5 Pd 0.342 0.342 0.658
6 Pd 0.658 0.658 0.342
7 Pt 0.158 0.675 0.325
8 Pt 0.177 0.177 0.823
9 Pt 0.325 0.842 0.158
10 Pt 0.675 0.158 0.842
11 Pt 0.823 0.823 0.177
12 Pt 0.842 0.325 0.675


The following is a calculated powder X-ray diffraction pattern of Mo2Pd3Pt3. It was derived from a cell relaxed with GGA-PBE, using λ = 1.5418 Å (Cu Kα).

Top 8 peaks for 2θ from 10° to 80°, in order of falling intensity:
d = 2.197 Å, rel. 100
d = 2.288 Å, rel. 51
d = 2.100 Å, rel. 50
d = 2.506 Å, rel. 31
d = 3.637 Å, rel. 29
d = 2.063 Å, rel. 26
d = 1.424 Å, rel. 17
d = 1.253 Å, rel. 15

Atomic structure:
Cell: 5.024 5.024 5.024 Å, 92.78 92.78 92.78°
Fractional positions:
1 Mo 0.232 0.232 0.232
2 Mo 0.768 0.768 0.768
3 Pd 0.237 0.763 0.500
4 Pd 0.500 0.237 0.763
5 Pd 0.763 0.500 0.237
6 Pt 0.000 0.280 0.720
7 Pt 0.280 0.720 0.000
8 Pt 0.720 0.000 0.280


What did the second record say?
The following is a calculated powder X-ray diffraction pattern of Mo2PdPt3. It was derived from a cell relaxed with GGA-PBE, using λ = 1.5418 Å (Cu Kα).

Top 8 peaks for 2θ from 10° to 80°, in order of falling intensity:
d = 2.250 Å, rel. 100
d = 2.205 Å, rel. 77
d = 2.232 Å, rel. 50
d = 2.211 Å, rel. 34
d = 1.724 Å, rel. 27
d = 2.682 Å, rel. 26
d = 1.292 Å, rel. 26
d = 1.571 Å, rel. 23

Atomic structure:
Cell: 9.002 8.264 5.208 Å, 80.38 64.84 34.78°
Fractional positions:
1 Mo 0.248 0.752 0.752
2 Mo 0.250 0.250 0.250
3 Mo 0.750 0.750 0.750
4 Mo 0.752 0.248 0.248
5 Pd 0.342 0.342 0.658
6 Pd 0.658 0.658 0.342
7 Pt 0.158 0.675 0.325
8 Pt 0.177 0.177 0.823
9 Pt 0.325 0.842 0.158
10 Pt 0.675 0.158 0.842
11 Pt 0.823 0.823 0.177
12 Pt 0.842 0.325 0.675